# LaPr3Al4O12
Simulated powder diffractogram, Cu Kα (weighted mean of Kα1 and Kα2). Input: the PBE geometry in the Materials Project.
Peak positions follow from Bragg's law for the DFT cell and can differ from measured ones.

Structure:
Cell: 5.3664 5.3664 7.6268 Å, 90.00 90.00 90.00°
Space group P-42m (No. 111)
Symmetry-distinct sites (fractional):
La 0.0000 0.0000 0.0000 (multiplicity 1)
Pr 0.0000 0.0000 0.5000 (multiplicity 1)
Pr 0.5000 0.5000 0.0000 (multiplicity 1)
Pr 0.5000 0.5000 0.5000 (multiplicity 1)
Al 0.0000 0.5000 0.2502 (multiplicity 4)
O 0.0000 0.5000 0.0000 (multiplicity 2)
O 0.0000 0.5000 0.5000 (multiplicity 2)
O 0.2154 0.2154 0.2482 (multiplicity 4)
O 0.2855 0.2855 0.7464 (multiplicity 4)

Peak list (10 most intense, 10° ≤ 2θ ≤ 90°, sorted by position)
23.33°, rel. 16, hkl 0 0 2
23.44°, rel. 33, hkl 1 1 0
33.34°, rel. 100, hkl 2 0 0
41.13°, rel. 41, hkl 2 0 2
47.70°, rel. 12, hkl 0 0 4
47.95°, rel. 22, hkl 2 2 0
54.01°, rel. 15, hkl 2 2 2
59.47°, rel. 14, hkl 2 0 4
59.63°, rel. 27, hkl 3 1 2
69.95°, rel. 13, hkl 2 2 4